# 1
Structure and calculated powder diffraction line list of Li2MnAsCO7 (a PBE+U-relaxed structure; Cu Kα (weighted mean of Kα1 and Kα2)).
Peak positions follow from Bragg's law for the DFT cell and can differ from measured ones.

Top 6 peaks for 2θ from 10° to 90°, low angle first:
| h k l | 2theta | I (rel.) |
| --- | --- | --- |
| 0 0 1 | 10.14 | 100.0 |
| 1 0 -1 | 19.28 | 24.8 |
| 1 1 1 | 24.47 | 27.4 |
| 1 0 -2 | 25.87 | 32.2 |
| 0 2 0 | 27.48 | 44.0 |
| 2 0 0 | 34.20 | 17.0 |

Structure:
```
Li2MnAsCO7
1.0
5.2512 0.0000 0.0000
0.0000 6.4923 0.0000
-0.4641 0.0000 8.7214
Li Mn As C O
4 2 2 2 14
Direct
0.2096 0.0198 0.2930
0.2096 0.4802 0.2930
0.7904 0.5198 0.7070
0.7904 0.9802 0.7070
0.2235 0.7500 0.8413
0.7765 0.2500 0.1587
0.2914 0.2500 0.9305
0.7086 0.7500 0.0695
0.2833 0.7500 0.5505
0.7167 0.2500 0.4495
0.0679 0.7500 0.6265
0.1830 0.2500 0.1117
0.1865 0.0467 0.8194
0.1865 0.4533 0.8194
0.2712 0.7500 0.4050
0.3771 0.7500 0.0492
0.4908 0.7500 0.6370
0.5092 0.2500 0.3630
0.6229 0.2500 0.9508
0.7288 0.2500 0.5950
0.8135 0.5467 0.1806
0.8135 0.9533 0.1806
0.8170 0.7500 0.8883
0.9321 0.2500 0.3735
```



# 2
Structure and calculated powder diffraction line list of Sr2TiMnO6 (a PBE+U-relaxed structure; Cu Kα (weighted mean of Kα1 and Kα2)).
Peak positions follow from Bragg's law for the DFT cell and can differ from measured ones.

Top 6 peaks for 2θ from 10° to 90°, low angle first:
| h k l | 2theta | I (rel.) |
| --- | --- | --- |
| 2 2 0 | 32.33 | 100.0 |
| 2 2 2 | 39.87 | 17.8 |
| 4 0 0 | 46.37 | 40.1 |
| 4 2 2 | 57.65 | 37.5 |
| 4 4 0 | 67.66 | 22.9 |
| 6 2 0 | 76.99 | 16.1 |

Structure:
```
Sr2TiMnO6
1.0
7.8329 0.0000 0.0000
0.0000 7.8329 0.0000
0.0000 0.0000 7.8329
Sr Ti Mn O
8 4 4 24
Direct
0.2480 0.2480 0.2480
0.2480 0.2480 0.7520
0.2480 0.7520 0.2480
0.2480 0.7520 0.7520
0.7520 0.2480 0.2480
0.7520 0.2480 0.7520
0.7520 0.7520 0.2480
0.7520 0.7520 0.7520
0.0000 0.5000 0.5000
0.5000 0.0000 0.5000
0.5000 0.5000 0.0000
0.5000 0.5000 0.5000
0.0000 0.0000 0.0000
0.0000 0.0000 0.5000
0.0000 0.5000 0.0000
0.5000 0.0000 0.0000
0.0000 0.0000 0.2512
0.0000 0.0000 0.7488
0.0000 0.2476 0.5000
0.0000 0.2512 0.0000
0.0000 0.5000 0.2476
0.0000 0.5000 0.7524
0.0000 0.7488 0.0000
0.0000 0.7524 0.5000
0.2476 0.0000 0.5000
0.2476 0.5000 0.0000
0.2497 0.5000 0.5000
0.2512 0.0000 0.0000
0.5000 0.0000 0.2476
0.5000 0.0000 0.7524
0.5000 0.2476 0.0000
0.5000 0.2497 0.5000
0.5000 0.5000 0.2497
0.5000 0.5000 0.7503
0.5000 0.7503 0.5000
0.5000 0.7524 0.0000
0.7488 0.0000 0.0000
0.7503 0.5000 0.5000
0.7524 0.0000 0.5000
0.7524 0.5000 0.0000
```



# 3
Structure and calculated powder diffraction line list of K3ScV2O8 (a PBE+U-relaxed structure; Cu Kα (weighted mean of Kα1 and Kα2)).
Peak positions follow from Bragg's law for the DFT cell and can differ from measured ones.

Top 6 peaks for 2θ from 10° to 90°, low angle first:
| h k l | 2theta | I (rel.) |
| --- | --- | --- |
| 1 0 1 | 21.22 | 23.5 |
| 0 1 2 | 29.70 | 61.6 |
| 1 1 0 | 30.65 | 100.0 |
| 2 0 2 | 43.20 | 47.8 |
| 1 2 2 | 53.90 | 19.9 |
| 2 2 0 | 63.82 | 19.7 |

Structure:
```
K3ScV2O8
1.0
5.8339 0.0000 0.0000
-2.9170 5.0523 0.0000
0.0000 0.0000 7.4869
K Sc V O
3 1 2 8
Direct
0.0000 0.0000 0.0000
0.3333 0.6667 0.6765
0.6667 0.3333 0.3235
0.0000 0.0000 0.5000
0.3333 0.6667 0.2462
0.6667 0.3333 0.7538
0.1696 0.3391 0.3302
0.1696 0.8304 0.3302
0.3333 0.6667 0.0217
0.3391 0.1696 0.6698
0.6609 0.8304 0.3302
0.6667 0.3333 0.9783
0.8304 0.1696 0.6698
0.8304 0.6609 0.6698
```



# 4
Structure and calculated powder diffraction line list of VOF (a PBE+U-relaxed structure; Cu Kα (weighted mean of Kα1 and Kα2)).
Peak positions follow from Bragg's law for the DFT cell and can differ from measured ones.

Top 6 peaks for 2θ from 10° to 90°, low angle first:
| h k l | 2theta | I (rel.) |
| --- | --- | --- |
| 1 1 1 | 26.84 | 100.0 |
| 2 0 -2 | 34.51 | 36.6 |
| 3 1 -1 | 52.42 | 15.9 |
| 0 2 4 | 52.59 | 14.4 |
| 2 2 -2 | 52.78 | 15.1 |
| 2 2 2 | 55.31 | 18.8 |

Structure:
```
VOF
1.0
5.6620 0.0000 0.0000
0.0000 4.6530 0.0000
-1.1709 0.0000 10.4896
V O F
8 8 8
Direct
0.0000 0.2278 0.0000
0.0000 0.7722 0.5000
0.2411 0.2717 0.7225
0.2411 0.7283 0.2225
0.4939 0.2711 0.4739
0.4939 0.7289 0.9739
0.7488 0.2290 0.2492
0.7488 0.7710 0.7492
0.0201 0.0510 0.1688
0.0201 0.9490 0.6688
0.2227 0.4479 0.5556
0.2227 0.5521 0.0556
0.4828 0.4568 0.3075
0.4828 0.5432 0.8075
0.7611 0.0417 0.4167
0.7611 0.9583 0.9167
0.2673 0.0515 0.9042
0.2673 0.9485 0.4042
0.5178 0.0518 0.6515
0.5178 0.9482 0.1515
0.7245 0.4472 0.0713
0.7245 0.5528 0.5713
0.9762 0.4512 0.8195
0.9762 0.5488 0.3195
```



# 5
Structure and calculated powder diffraction line list of FeO2 (a PBE+U-relaxed structure; Cu Kα (weighted mean of Kα1 and Kα2)).
Peak positions follow from Bragg's law for the DFT cell and can differ from measured ones.

Top 6 peaks for 2θ from 10° to 90°, low angle first:
| h k l | 2theta | I (rel.) |
| --- | --- | --- |
| 1 1 0 | 27.36 | 100.0 |
| 1 0 1 | 35.91 | 51.7 |
| 1 1 1 | 41.06 | 12.1 |
| 2 1 1 | 54.11 | 58.8 |
| 2 2 0 | 56.47 | 15.9 |
| 3 0 1 | 68.75 | 20.5 |

Structure:
```
FeO2
1.0
4.6094 0.0000 0.0000
0.0000 4.6094 0.0000
0.0000 0.0000 2.9771
Fe O
2 4
Direct
0.0000 0.0000 0.0000
0.5000 0.5000 0.5000
0.1905 0.1905 0.5000
0.3095 0.6905 0.0000
0.6905 0.3095 0.0000
0.8095 0.8095 0.5000
```



# 6
Structure and calculated powder diffraction line list of MgCr2O4 (a PBE+U-relaxed structure; Cu Kα (weighted mean of Kα1 and Kα2)).
Peak positions follow from Bragg's law for the DFT cell and can differ from measured ones.

Top 6 peaks for 2θ from 10° to 90°, low angle first:
| h k l | 2theta | I (rel.) |
| --- | --- | --- |
| 0 0 3 | 18.13 | 53.5 |
| 2 0 1 | 35.13 | 100.0 |
| 2 0 4 | 42.69 | 49.0 |
| 2 1 5 | 56.46 | 26.7 |
| 0 2 8 | 61.89 | 27.8 |
| 2 2 0 | 62.03 | 27.9 |

Structure:
```
MgCr2O4
1.0
5.9847 0.0000 0.0000
-2.9923 5.1829 0.0000
0.0000 0.0000 14.7027
Mg Cr O
6 12 24
Direct
0.0000 0.0000 0.0000
0.0000 0.0000 0.2430
0.3333 0.6667 0.5816
0.6667 0.3333 0.2854
0.6667 0.3333 0.6651
0.6667 0.3333 0.9145
0.0000 0.0000 0.6241
0.1668 0.3336 0.7902
0.1668 0.8332 0.7902
0.3311 0.1655 0.4571
0.3333 0.6667 0.3336
0.3333 0.6667 0.9569
0.5012 0.0024 0.1227
0.5012 0.4988 0.1227
0.6664 0.8332 0.7902
0.8345 0.1655 0.4571
0.8345 0.6689 0.4571
0.9976 0.4988 0.1227
0.0000 0.0000 0.3838
0.0000 0.0000 0.8624
0.0291 0.5145 0.8690
0.1516 0.3032 0.5363
0.1516 0.8484 0.5363
0.1821 0.3641 0.0429
0.1821 0.8179 0.0429
0.3040 0.1520 0.7098
0.3333 0.6667 0.1976
0.3333 0.6667 0.7171
0.3574 0.1787 0.1994
0.4855 0.5145 0.8690
0.4855 0.9709 0.8690
0.5078 0.0157 0.3801
0.5078 0.4922 0.3801
0.6359 0.8179 0.0429
0.6667 0.3333 0.0498
0.6667 0.3333 0.5280
0.6968 0.8484 0.5363
0.8213 0.1787 0.1994
0.8213 0.6426 0.1994
0.8480 0.1520 0.7098
0.8480 0.6960 0.7098
0.9843 0.4922 0.3801
```



# 7
Structure and calculated powder diffraction line list of MgMn6O12 (a PBE+U-relaxed structure; Cu Kα (weighted mean of Kα1 and Kα2)).
Peak positions follow from Bragg's law for the DFT cell and can differ from measured ones.

Top 6 peaks for 2θ from 10° to 90°, low angle first:
| h k l | 2theta | I (rel.) |
| --- | --- | --- |
| 1 0 1 | 13.35 | 100.0 |
| 0 0 2 | 18.56 | 87.1 |
| 2 0 0 | 18.76 | 86.1 |
| 1 0 2 | 21.05 | 79.8 |
| 1 1 -2 | 36.99 | 83.6 |
| 2 1 1 | 37.31 | 94.7 |

Structure:
```
MgMn6O12
1.0
9.4618 0.0000 0.0000
0.0000 2.9441 0.0000
-0.2672 0.0000 9.5621
Mg Mn O
1 6 12
Direct
0.0000 0.0000 0.0000
0.0000 0.5000 0.5000
0.2666 0.0000 0.4800
0.4877 0.5000 0.7339
0.5000 0.0000 0.0000
0.5123 0.5000 0.2661
0.7334 0.0000 0.5200
0.0967 0.0000 0.5955
0.1641 0.5000 0.3854
0.3504 0.5000 0.5811
0.3900 0.0000 0.8274
0.3994 0.5000 0.0858
0.4064 0.0000 0.3381
0.5936 0.0000 0.6619
0.6006 0.5000 0.9142
0.6100 0.0000 0.1726
0.6496 0.5000 0.4189
0.8359 0.5000 0.6146
0.9033 0.0000 0.4045
```